# 1
Diffraction record for NaMnAsO6. The XRD peak list is calculated, not measured: it uses a crystal structure in Alexandria, relaxed with PBE+U and Cu Ka.

Peak list (10 most intense, 2θ from 10° to 90°, low angle first)
2θ (°), intensity
17.07, 100
20.64, 31
26.90, 89
36.15, 26
40.23, 45
45.63, 16
50.85, 59
59.55, 17
65.01, 18
65.73, 15

Structure:
abc: 4.970 4.970 5.195
angles: 90.00 90.00 120.00
Positions (direct):
Na (0.000, 0.000, 0.000)
Mn (0.333, 0.667, 0.500)
As (0.667, 0.333, 0.500)
O (0.372, 0.009, 0.698)
O (0.372, 0.363, 0.302)
O (0.637, 0.009, 0.302)
O (0.637, 0.628, 0.698)
O (0.991, 0.363, 0.698)
O (0.991, 0.628, 0.302)

---

# 2
Diffraction record for Co7Sb2O12. The XRD peak list is calculated, not measured: it uses a crystal structure in Alexandria, relaxed with PBE+U and Cu Ka.

Peak list (10 most intense, 2θ from 10° to 90°, low angle first)
2θ (°), intensity
17.79, 34
17.98, 38
29.53, 29
34.22, 100
34.46, 30
34.59, 89
41.71, 45
60.24, 38
60.46, 37
61.30, 37

Structure:
abc: 6.050 6.050 15.115
angles: 90.05 90.05 60.84
Positions (direct):
Co (0.000, 0.000, 0.000)
Co (0.009, 0.490, 0.500)
Co (0.009, 0.985, 0.633)
Co (0.015, 0.991, 0.367)
Co (0.170, 0.156, 0.838)
Co (0.317, 0.338, 0.303)
Co (0.371, 0.313, 0.040)
Co (0.510, 0.490, 0.500)
Co (0.510, 0.991, 0.500)
Co (0.662, 0.683, 0.697)
Co (0.679, 0.155, 0.837)
Co (0.687, 0.629, 0.960)
Co (0.844, 0.830, 0.162)
Co (0.845, 0.321, 0.163)
Sb (0.172, 0.660, 0.840)
Sb (0.340, 0.828, 0.160)
Sb (0.342, 0.322, 0.666)
Sb (0.678, 0.658, 0.334)
O (0.010, 0.984, 0.768)
O (0.016, 0.990, 0.232)
O (0.032, 0.495, 0.750)
O (0.186, 0.168, 0.589)
O (0.186, 0.672, 0.085)
O (0.190, 0.139, 0.087)
O (0.191, 0.628, 0.588)
O (0.328, 0.814, 0.915)
O (0.341, 0.325, 0.904)
O (0.343, 0.321, 0.429)
O (0.372, 0.809, 0.412)
O (0.476, 0.500, 0.751)
O (0.487, 0.032, 0.754)
O (0.500, 0.524, 0.249)
O (0.505, 0.968, 0.250)
O (0.651, 0.172, 0.590)
O (0.675, 0.659, 0.096)
O (0.679, 0.657, 0.571)
O (0.713, 0.143, 0.088)
O (0.828, 0.349, 0.410)
O (0.832, 0.814, 0.411)
O (0.857, 0.287, 0.912)
O (0.861, 0.810, 0.913)
O (0.968, 0.513, 0.246)